No. 1
For Tb2SmAs3, the GGA-PBE geometry in OQMD gives the simulated PXRD pattern in this record (a wavelength of 1.5418 Å).
Peak positions follow from Bragg's law for the DFT cell and can differ from measured ones.

Largest 7 diffraction maxima, by angle, 5 to 70 degrees two-theta:
2θ (°)	intensity
26.24	21
30.39	100
43.52	75
51.53	11
54.00	26
63.24	12
69.68	4

Cell and atoms:
abc: 4.1597 4.1597 10.1851
angles: 90.00 90.00 120.00
Space group P-3m1 (No. 164)
Inequivalent atoms, fractional coordinates:
Tb  0.3333  0.6667  0.3352
Sm  0.0000  0.0000  0.0000
As  0.0000  0.0000  0.5000
As  0.3333  0.6667  0.8293

---

No. 2
For HoLuFe2Cl2, the GGA-PBE geometry in OQMD gives the simulated PXRD pattern in this record (a wavelength of 1.5418 Å).
Peak positions follow from Bragg's law for the DFT cell and can differ from measured ones.

Largest 10 diffraction maxima, by angle, 5 to 70 degrees two-theta:
2θ (°)	intensity
8.08	100
27.38	22
28.59	9
31.97	37
36.99	61
48.40	22
49.16	8
50.20	9
62.44	13
65.42	8

Cell and atoms:
abc: 3.7610 3.7610 10.9488
angles: 90.00 90.00 120.00
Space group P3m1 (No. 156)
Inequivalent atoms, fractional coordinates:
Ho  0.0000  0.0000  0.0000
Lu  0.0000  0.0000  0.3608
Fe  0.3333  0.6667  0.1931
Fe  0.6667  0.3333  0.1731
Cl  0.3333  0.6667  0.8404
Cl  0.6667  0.3333  0.5155

---

No. 3
For Zr2TcPd, the GGA-PBE geometry in OQMD gives the simulated PXRD pattern in this record (a wavelength of 1.5418 Å).
Peak positions follow from Bragg's law for the DFT cell and can differ from measured ones.

Largest 6 diffraction maxima, by angle, 5 to 70 degrees two-theta:
2θ (°)	intensity
38.26	100
38.94	48
54.18	9
56.16	8
56.33	8
68.71	17

Cell and atoms:
abc: 6.5333 6.7716 6.5516
angles: 90.00 90.00 90.00
Space group Imma (No. 74)
Inequivalent atoms, fractional coordinates:
Zr  0.2500  0.0003  0.2500
Tc  0.0000  0.2500  0.0007
Pd  0.0000  0.2500  0.5007

---

No. 4
For La2CuGe4Ir, the GGA-PBE geometry in OQMD gives the simulated PXRD pattern in this record (a wavelength of 1.5418 Å).
Peak positions follow from Bragg's law for the DFT cell and can differ from measured ones.

Largest 10 diffraction maxima, by angle, 5 to 70 degrees two-theta:
2θ (°)	intensity
10.27	43
29.23	60
32.79	100
33.04	69
37.41	46
41.12	95
53.73	35
56.80	27
59.56	31
69.68	22

Cell and atoms:
abc: 4.3903 4.3904 17.2343
angles: 90.00 90.00 90.00
Space group Amm2 (No. 38)
Inequivalent atoms, fractional coordinates:
La  0.0000  0.0000  0.0000
La  0.5000  0.0000  0.2182
Cu  0.0000  0.0000  0.7815
Ge  0.0000  0.0000  0.3548
Ge  0.0000  0.0000  0.6433
Ge  0.5000  0.0000  0.5665
Ge  0.5000  0.0000  0.8549
Ir  0.5000  0.0000  0.4249

---

No. 5
For HoEr2Hg, the GGA-PBE geometry in OQMD gives the simulated PXRD pattern in this record (a wavelength of 1.5418 Å).
Peak positions follow from Bragg's law for the DFT cell and can differ from measured ones.

Largest 10 diffraction maxima, by angle, 5 to 70 degrees two-theta:
2θ (°)	intensity
32.71	100
32.93	20
34.18	16
35.41	27
38.07	10
43.68	9
50.03	11
54.94	10
61.88	18
67.08	10

Cell and atoms:
abc: 5.0704 10.4940 8.2883
angles: 90.00 90.00 90.00
Space group Ama2 (No. 40)
Inequivalent atoms, fractional coordinates:
Ho  0.2500  0.1133  0.0000
Er  0.2500  0.1130  0.5841
Er  0.2500  0.3906  0.7927
Hg  0.2500  0.3196  0.2915

---

No. 6
For Li4Al2InHg, the GGA-PBE geometry in OQMD gives the simulated PXRD pattern in this record (a wavelength of 1.5418 Å).
Peak positions follow from Bragg's law for the DFT cell and can differ from measured ones.

Largest 10 diffraction maxima, by angle, 5 to 70 degrees two-theta:
2θ (°)	intensity
13.73	6
19.45	5
23.89	100
27.65	37
39.51	65
46.69	51
48.90	11
57.10	11
62.78	21
64.60	14

Cell and atoms:
abc: 4.5628 4.5628 6.4497
angles: 90.00 90.00 90.00
Space group P-4m2 (No. 115)
Inequivalent atoms, fractional coordinates:
Li  0.0000  0.0000  0.0000
Li  0.0000  0.5000  0.7403
Li  0.5000  0.5000  0.5000
Al  0.0000  0.5000  0.2588
In  0.5000  0.5000  0.0000
Hg  0.0000  0.0000  0.5000

---

No. 7
For RbSmYSe3, the GGA-PBE geometry in OQMD gives the simulated PXRD pattern in this record (a wavelength of 1.5418 Å).
Peak positions follow from Bragg's law for the DFT cell and can differ from measured ones.

Largest 10 diffraction maxima, by angle, 5 to 70 degrees two-theta:
2θ (°)	intensity
11.22	100
25.82	35
27.00	73
30.29	63
31.46	43
38.09	62
39.40	35
41.12	18
47.89	32
51.24	38

Cell and atoms:
abc: 4.5735 15.7782 11.3739
angles: 90.00 90.00 90.00
Space group Cmcm (No. 63)
Inequivalent atoms, fractional coordinates:
Rb  0.0000  0.2391  0.2500
Sm  0.0000  0.5000  0.0000
Y  0.0000  0.0320  0.7500
Se  0.0000  0.1221  0.5477
Se  0.0000  0.4363  0.7500

---

No. 8
For CsMgBiPt, the GGA-PBE geometry in OQMD gives the simulated PXRD pattern in this record (a wavelength of 1.5418 Å).
Peak positions follow from Bragg's law for the DFT cell and can differ from measured ones.

Largest 10 diffraction maxima, by angle, 5 to 70 degrees two-theta:
2θ (°)	intensity
20.44	26
23.64	3
33.68	100
39.71	16
41.56	1
48.37	18
53.03	7
54.52	1
60.23	38
64.30	5

Cell and atoms:
abc: 7.5273 7.5273 7.5273
angles: 90.00 90.00 90.00
Space group F-43m (No. 216)
Inequivalent atoms, fractional coordinates:
Cs  0.0000  0.0000  0.0000
Mg  0.2500  0.2500  0.2500
Bi  0.2500  0.2500  0.7500
Pt  0.0000  0.0000  0.5000

---

No. 9
For Rb2ZrAg2Te2Se2, the GGA-PBE geometry in OQMD gives the simulated PXRD pattern in this record (a wavelength of 1.5418 Å).
Peak positions follow from Bragg's law for the DFT cell and can differ from measured ones.

Largest 10 diffraction maxima, by angle, 5 to 70 degrees two-theta:
2θ (°)	intensity
12.20	51
20.49	30
26.82	90
27.05	100
30.46	40
37.42	35
39.69	88
47.06	35
48.76	34
57.38	28

Cell and atoms:
abc: 6.4278 6.4189 7.8978
angles: 90.00 113.33 90.00
Space group P2 (No. 3)
Inequivalent atoms, fractional coordinates:
Rb  0.0000  0.0000  0.0000
Rb  0.5000  0.4841  0.0000
Zr  0.5000  0.7507  0.5000
Ag  0.0000  0.7605  0.5000
Ag  0.5000  0.2447  0.5000
Te  0.1414  0.5018  0.2759
Se  0.3787  0.9752  0.7127

---

No. 10
For PrYAl6, the GGA-PBE geometry in OQMD gives the simulated PXRD pattern in this record (a wavelength of 1.5418 Å).
Peak positions follow from Bragg's law for the DFT cell and can differ from measured ones.

Largest 10 diffraction maxima, by angle, 5 to 70 degrees two-theta:
2θ (°)	intensity
15.89	20
25.12	78
27.70	37
32.09	27
37.74	100
39.23	21
47.45	17
48.70	16
57.21	17
63.45	16

Cell and atoms:
abc: 6.4410 6.4410 4.5930
angles: 90.00 90.00 120.00
Space group P-6m2 (No. 187)
Inequivalent atoms, fractional coordinates:
Pr  0.0000  0.0000  0.0000
Y  0.6667  0.3333  0.5000
Al  0.0430  0.5215  0.0000
Al  0.1915  0.3830  0.5000

---

No. 11
For PrHg, the GGA-PBE geometry in OQMD gives the simulated PXRD pattern in this record (a wavelength of 1.5418 Å).
Peak positions follow from Bragg's law for the DFT cell and can differ from measured ones.

Largest 7 diffraction maxima, by angle, 5 to 70 degrees two-theta:
2θ (°)	intensity
23.14	3
32.95	100
40.65	1
47.29	18
53.28	2
58.84	39
69.11	12

Cell and atoms:
abc: 3.8444 3.8444 3.8444
angles: 90.00 90.00 90.00
Space group Pm-3m (No. 221)
Inequivalent atoms, fractional coordinates:
Pr  0.0000  0.0000  0.0000
Hg  0.5000  0.5000  0.5000